Diffraction record for Sr3Co2O6. The X-ray diffraction stick pattern is calculated, not measured: it uses a crystal structure in OQMD, relaxed with PBE+U and CuKα.

Atomic structure:
Unit cell a=6.563 b=6.563 c=6.563 alpha=93.44 beta=93.44 gamma=93.44
Atoms (fractional coordinates):
Sr: 0.122 0.750 0.378
Sr: 0.250 0.622 0.878
Sr: 0.378 0.122 0.750
Sr: 0.622 0.878 0.250
Sr: 0.750 0.378 0.122
Sr: 0.878 0.250 0.622
Co: 0.000 0.000 0.000
Co: 0.250 0.250 0.250
Co: 0.500 0.500 0.500
Co: 0.750 0.750 0.750
O: 0.031 0.902 0.711
O: 0.098 0.289 0.969
O: 0.211 0.402 0.531
O: 0.289 0.969 0.098
O: 0.402 0.531 0.211
O: 0.469 0.789 0.598
O: 0.531 0.211 0.402
O: 0.598 0.469 0.789
O: 0.711 0.031 0.902
O: 0.789 0.598 0.469
O: 0.902 0.711 0.031
O: 0.969 0.098 0.289

Top 12 peaks for 2θ = 5–70°, most intense first:
2theta, I/Imax
32.46, 100
31.37, 87
40.21, 51
45.76, 46
59.80, 32
44.67, 20
62.13, 14
57.90, 11
57.22, 11
66.50, 10
67.97, 10
42.90, 10